The following is a calculated powder X-ray diffraction pattern of Al3Ag5. It was derived from the PBE geometry in Alexandria, using Cu Kα (weighted mean of Kα1 and Kα2).
No peak broadening, texture or thermal motion is included.

Structural model:
```
Al3Ag5
1.0
-1.894 2.116 8.458
1.894 -2.116 8.458
1.894 2.116 -8.458
Al Ag
3 5
direct
0.000 0.000 0.000
0.373 0.873 0.500
0.627 0.127 0.500
0.119 0.619 0.500
0.253 0.253 0.000
0.500 0.500 0.000
0.747 0.747 0.000
0.881 0.381 0.500
```

Most intense lines, 15 to 90 degrees two-theta, low angle first:
d = 3.696 Å, 24.08 deg, I = 192; d = 3.384 Å, 26.33 deg, I = 102; d = 2.642 Å, 33.93 deg, I = 110; d = 2.347 Å, 38.35 deg, I = 1000; d = 2.115 Å, 42.75 deg, I = 360; d = 1.894 Å, 48.05 deg, I = 133; d = 1.496 Å, 62.06 deg, I = 111; d = 1.411 Å, 66.25 deg, I = 185; d = 1.261 Å, 75.35 deg, I = 251; d = 1.174 Å, 82.12 deg, I = 100